1.
Calculated X-ray diffraction stick pattern
Compound: Li4CrBiTe2O12
Radiation: Cu Kα, 1.54184 Å
Structure: a crystal structure in Alexandria, relaxed with PBE+U
Neutral-atom scattering factors, no anomalous dispersion.

Crystal structure
Unit cell a=5.218 b=5.491 c=7.587 alpha=94.17 beta=90.06 gamma=90.11
Fractional coordinates of all 20 atoms:
Li1 0.000 0.000 0.000
Li2 0.008 0.992 0.548
Li3 0.504 0.466 0.004
Li4 0.515 0.469 0.552
Cr1 0.006 0.415 0.812
Bi1 0.508 0.910 0.308
Te1 0.007 0.408 0.314
Te2 0.506 0.905 0.813
O1 0.136 0.394 0.076
O2 0.178 0.710 0.399
O3 0.200 0.084 0.762
O4 0.308 0.230 0.402
O5 0.331 0.592 0.764
O6 0.357 0.887 0.052
O7 0.648 0.870 0.571
O8 0.680 0.553 0.251
O9 0.701 0.197 0.882
O10 0.797 0.714 0.888
O11 0.862 0.079 0.249
O12 0.880 0.373 0.554

Largest 6 diffraction maxima, in order of rising 2θ, 2θ from 10° to 90°:
2θ (°), I (rel.), index
23.54, 100, 1 1 0
32.67, 41, 1 -1 2
34.37, 27, -1 1 2
42.08, 18, 2 0 2
53.08, 23, 2 -2 2
55.40, 15, -1 1 4

2.
Calculated X-ray diffraction stick pattern
Compound: NbCrBiO6
Radiation: Cu Kα, 1.54184 Å
Structure: a crystal structure in Alexandria, relaxed with PBE+U
Neutral-atom scattering factors, no anomalous dispersion.

Crystal structure
Unit cell a=4.853 b=4.853 c=9.754 alpha=90.00 beta=90.00 gamma=90.00
Fractional coordinates of all 18 atoms:
Nb1 0.000 0.000 0.000
Nb2 0.500 0.500 0.500
Cr1 0.000 0.000 0.341
Cr2 0.500 0.500 0.841
Bi1 0.000 0.000 0.668
Bi2 0.500 0.500 0.168
O1 0.175 0.175 0.172
O2 0.203 0.203 0.490
O3 0.205 0.205 0.859
O4 0.295 0.705 0.359
O5 0.297 0.703 0.990
O6 0.325 0.675 0.672
O7 0.675 0.325 0.672
O8 0.703 0.297 0.990
O9 0.705 0.295 0.359
O10 0.795 0.795 0.859
O11 0.797 0.797 0.490
O12 0.825 0.825 0.172

Largest 6 diffraction maxima, in order of rising 2θ, 2θ from 10° to 90°:
2θ (°), I (rel.), index
20.44, 41, 1 0 1
25.96, 100, 1 1 0
33.17, 81, 1 0 3
37.05, 23, 2 0 0
50.56, 67, 2 1 3
64.32, 20, 3 0 3